# 1
Structure and calculated XRD peak list of ScSi7Ir3 (a PBE-relaxed structure; Cu Kα).
Intensities are scaled so that the largest is 100.

Structure:
Cell: 7.980 7.980 7.980 Å, 56.54 56.54 56.54°
Atoms (fractional coordinates):
1 Sc 0.000 0.000 0.000
2 Sc 0.500 0.500 0.500
3 Si 0.065 0.851 0.672
4 Si 0.149 0.328 0.935
5 Si 0.172 0.351 0.565
6 Si 0.250 0.250 0.250
7 Si 0.328 0.935 0.149
8 Si 0.351 0.565 0.172
9 Si 0.435 0.828 0.649
10 Si 0.565 0.172 0.351
11 Si 0.649 0.435 0.828
12 Si 0.672 0.065 0.851
13 Si 0.750 0.750 0.750
14 Si 0.828 0.649 0.435
15 Si 0.851 0.672 0.065
16 Si 0.935 0.149 0.328
17 Ir 0.073 0.750 0.427
18 Ir 0.250 0.573 0.927
19 Ir 0.427 0.073 0.750
20 Ir 0.573 0.927 0.250
21 Ir 0.750 0.427 0.073
22 Ir 0.927 0.250 0.573

Principal peaks in the range 2θ = 5–70°, low angle first:
Position (°2θ)	Rel. int.
26.7	19
27.1	100
35.9	21
41.4	28
47.4	35
49.9	30
50.2	28
67.0	18

---

# 2
Structure and calculated XRD peak list of NbCuS3 (a PBE-relaxed structure; Cu Kα).
Intensities are scaled so that the largest is 100.

Structure:
Cell: 9.534 3.513 11.947 Å, 90.00 90.00 90.00°
Atoms (fractional coordinates):
1 Nb 0.108 0.250 0.130
2 Nb 0.392 0.750 0.630
3 Nb 0.608 0.250 0.370
4 Nb 0.892 0.750 0.870
5 Cu 0.228 0.750 0.284
6 Cu 0.272 0.250 0.784
7 Cu 0.728 0.750 0.216
8 Cu 0.772 0.250 0.716
9 S 0.081 0.250 0.322
10 S 0.082 0.250 0.902
11 S 0.219 0.250 0.597
12 S 0.281 0.750 0.097
13 S 0.418 0.750 0.402
14 S 0.419 0.750 0.822
15 S 0.581 0.250 0.178
16 S 0.582 0.250 0.598
17 S 0.719 0.250 0.903
18 S 0.781 0.750 0.403
19 S 0.918 0.750 0.098
20 S 0.919 0.750 0.678

Principal peaks in the range 2θ = 5–70°, low angle first:
Position (°2θ)	Rel. int.
11.9	100
14.8	43
20.1	77
31.6	65
32.5	62
44.1	49
46.6	59
54.7	47

---

# 3
Structure and calculated XRD peak list of ZrAlPt (a PBE-relaxed structure; Cu Kα).
Intensities are scaled so that the largest is 100.

Structure:
Cell: 7.145 7.145 7.299 Å, 90.00 90.00 120.00°
Atoms (fractional coordinates):
1 Zr 0.019 0.607 0.250
2 Zr 0.393 0.412 0.250
3 Zr 0.412 0.393 0.750
4 Zr 0.588 0.981 0.250
5 Zr 0.607 0.019 0.750
6 Zr 0.981 0.588 0.750
7 Al 0.000 0.259 0.000
8 Al 0.000 0.259 0.500
9 Al 0.259 0.000 0.000
10 Al 0.259 0.000 0.500
11 Al 0.741 0.741 0.000
12 Al 0.741 0.741 0.500
13 Pt 0.000 0.000 0.250
14 Pt 0.000 0.000 0.750
15 Pt 0.333 0.667 0.526
16 Pt 0.333 0.667 0.974
17 Pt 0.667 0.333 0.026
18 Pt 0.667 0.333 0.474

Principal peaks in the range 2θ = 5–70°, low angle first:
Position (°2θ)	Rel. int.
24.9	97
28.4	59
35.2	53
38.1	100
43.9	61
46.1	57
51.1	21
68.7	26

---

# 4
Structure and calculated XRD peak list of HoErSiGeOs (a PBE-relaxed structure; Cu Kα).
Intensities are scaled so that the largest is 100.

Structure:
Cell: 5.772 5.772 9.951 Å, 116.38 116.38 43.49°
Atoms (fractional coordinates):
1 Ho 0.006 0.006 0.180
2 Ho 0.994 0.994 0.820
3 Er 0.182 0.182 0.609
4 Er 0.818 0.818 0.391
5 Si 0.496 0.496 0.623
6 Si 0.504 0.504 0.377
7 Ge 0.358 0.358 0.937
8 Ge 0.642 0.642 0.063
9 Os 0.274 0.274 0.135
10 Os 0.726 0.726 0.865

Principal peaks in the range 2θ = 5–70°, low angle first:
Position (°2θ)	Rel. int.
10.1	59
27.5	29
32.8	35
33.4	61
33.7	100
37.0	65
40.8	80
42.3	61